(1)
This entry pairs a crystal structure of LiCu3C3O9 with its computed powder diffractogram. Radiation: Cu Kα. Structure: DFT lattice parameters and positions (PBE).
Neutral-atom scattering factors, no anomalous dispersion.

Atomic structure:
```
LiCu3C3O9
1.0
3.2004 0.0000 0.0000
-0.6832 13.8345 0.0000
-0.2718 -6.9232 12.1792
Li Cu C O
3 9 9 27
Direct
0.0000 0.0000 0.0000
0.0091 0.3325 0.6742
0.0369 0.6848 0.3312
0.4346 0.1543 0.2332
0.4826 0.1419 0.9035
0.4978 0.8445 0.5700
0.5009 0.8140 0.2130
0.5104 0.7709 0.8418
0.5214 0.4552 0.1932
0.5217 0.4941 0.9034
0.5643 0.1220 0.5329
0.5783 0.4707 0.5457
0.0010 0.5693 0.7563
0.0063 0.2539 0.4401
0.0134 0.9220 0.4365
0.0193 0.2456 0.1133
0.0335 0.5857 0.1083
0.4739 0.9014 0.0863
0.5002 0.2555 0.7855
0.5468 0.6003 0.4337
0.9949 0.9168 0.7743
0.0428 0.5551 0.6581
0.0659 0.0247 0.5192
0.0736 0.5691 0.0095
0.0840 0.6855 0.1924
0.0858 0.6661 0.8417
0.0888 0.0105 0.8642
0.0983 0.3564 0.4709
0.1284 0.8402 0.4496
0.1722 0.3368 0.1949
0.4322 0.9846 0.1816
0.4781 0.3432 0.8788
0.4865 0.9145 0.9991
0.4975 0.2625 0.6953
0.5009 0.8037 0.0732
0.5169 0.6060 0.3415
0.5231 0.1599 0.7772
0.5350 0.6890 0.5267
0.5915 0.5067 0.4257
0.8411 0.9051 0.3465
0.8694 0.4866 0.7700
0.9114 0.2371 0.0203
0.9297 0.8275 0.7806
0.9393 0.1805 0.3368
0.9435 0.5026 0.1240
0.9764 0.9130 0.6802
0.9794 0.1567 0.1264
0.9827 0.2234 0.5149
```

Principal peaks in the range 2θ = 10–90°, most intense first:
- 2θ 22.17, I = 1000
- 2θ 21.89, I = 467
- 2θ 35.63, I = 224
- 2θ 34.72, I = 212
- 2θ 38.57, I = 198
- 2θ 27.95, I = 190
- 2θ 34.87, I = 174
- 2θ 36.68, I = 151
- 2θ 36.28, I = 148
- 2θ 37.17, I = 121



(2)
This entry pairs a crystal structure of LiCu3C3O9 with its computed powder diffractogram. Radiation: Cu Kα. Structure: DFT lattice parameters and positions (PBE).
Neutral-atom scattering factors, no anomalous dispersion.

Atomic structure:
```
LiCu3C3O9
1.0
3.2527 0.0000 0.0000
0.2829 14.0002 0.0000
0.3302 6.9556 12.3086
Li Cu C O
3 9 9 27
Direct
0.0000 0.0000 0.0000
0.0222 0.6707 0.6760
0.0644 0.3411 0.3479
0.4477 0.2027 0.2439
0.4673 0.2429 0.9105
0.4829 0.9146 0.2395
0.4894 0.5687 0.9138
0.4907 0.8706 0.9063
0.5197 0.5424 0.5804
0.5268 0.9102 0.5808
0.5768 0.5726 0.2559
0.5842 0.2232 0.5715
0.0199 0.7755 0.7975
0.0352 0.4570 0.4625
0.5043 0.7827 0.4750
0.5039 0.7916 0.1271
0.5146 0.1131 0.7985
0.5158 0.1225 0.4619
0.5220 0.4580 0.7946
0.5265 0.4405 0.1440
0.9863 0.1175 0.1162
0.0132 0.7923 0.8802
0.0152 0.8550 0.6997
0.0197 0.5374 0.3624
0.0282 0.6732 0.8161
0.0363 0.4780 0.5420
0.0539 0.3572 0.4804
0.4283 0.3546 0.1398
0.4415 0.0878 0.3961
0.4754 0.6945 0.4697
0.4836 0.1098 0.8931
0.4881 0.0239 0.7945
0.4919 0.7053 0.1177
0.4950 0.8768 0.3899
0.5041 0.4398 0.8923
0.5050 0.8879 0.0373
0.5161 0.7858 0.2200
0.5301 0.3794 0.7726
0.5306 0.5589 0.7120
0.5392 0.7769 0.5711
0.5436 0.0559 0.5647
0.5489 0.4369 0.2393
0.5624 0.2270 0.4296
0.5718 0.2055 0.7122
0.6013 0.5309 0.0585
0.9642 0.1337 0.1978
0.9913 0.0156 0.1331
0.9987 0.1976 0.0169
```

Principal peaks in the range 2θ = 10–90°, most intense first:
- 2θ 21.91, I = 1000
- 2θ 27.43, I = 679
- 2θ 21.66, I = 546
- 2θ 35.51, I = 331
- 2θ 34.95, I = 303
- 2θ 38.07, I = 183
- 2θ 35.18, I = 160
- 2θ 38.19, I = 156
- 2θ 35.85, I = 145
- 2θ 30.24, I = 135



(3)
This entry pairs a crystal structure of LiCu2C3O9 with its computed powder diffractogram. Radiation: Cu Kα. Structure: DFT lattice parameters and positions (PBE).
Neutral-atom scattering factors, no anomalous dispersion.

Atomic structure:
```
LiCu2C3O9
1.0
7.5994 0.0000 0.0000
-2.2735 7.3036 0.0000
-2.8013 -3.5365 6.3020
Li Cu C O
2 4 6 18
Direct
0.0000 0.0000 0.0000
0.4661 0.5836 0.2605
0.0123 0.3118 0.6751
0.0670 0.9069 0.4029
0.3361 0.7636 0.7250
0.5007 0.2180 0.3085
0.1347 0.7009 0.0626
0.2386 0.3245 0.4442
0.2804 0.1325 0.8555
0.5982 0.0161 0.5798
0.6507 0.9015 0.1427
0.8700 0.5525 0.4795
0.0230 0.6859 0.1559
0.0456 0.7073 0.5270
0.0989 0.1284 0.3129
0.1509 0.1287 0.6816
0.1678 0.8388 0.0046
0.2044 0.5661 0.0274
0.2065 0.4427 0.5830
0.2690 0.2119 0.0215
0.4072 0.4097 0.4395
0.4089 0.0603 0.8460
0.4816 0.0915 0.4929
0.5036 0.8251 0.5362
0.6053 0.8143 0.9462
0.6607 0.0816 0.2307
0.6943 0.4852 0.3126
0.7026 0.8143 0.2534
0.8023 0.1277 0.7126
0.8704 0.4721 0.6012
```

Principal peaks in the range 2θ = 10–90°, most intense first:
- 2θ 14.07, I = 1000
- 2θ 13.96, I = 782
- 2θ 19.90, I = 708
- 2θ 19.64, I = 634
- 2θ 14.18, I = 519
- 2θ 20.48, I = 517
- 2θ 31.43, I = 515
- 2θ 37.56, I = 434
- 2θ 31.57, I = 325
- 2θ 37.77, I = 304



(4)
This entry pairs a crystal structure of Li4Cu2C4SO16 with its computed powder diffractogram. Radiation: Cu Kα. Structure: DFT lattice parameters and positions (PBE).
Neutral-atom scattering factors, no anomalous dispersion.

Atomic structure:
```
Li4Cu2C4SO16
1.0
0.0000 6.5937 6.8407
6.4414 0.0000 6.8407
6.4414 6.5937 0.0000
Li Cu C S O
8 4 8 2 32
Direct
0.0870 0.6630 0.6630
0.0891 0.6609 0.0891
0.3370 0.9130 0.9130
0.3391 0.9109 0.3391
0.6609 0.0891 0.6609
0.6630 0.0870 0.0870
0.9109 0.3391 0.9109
0.9130 0.3370 0.3370
0.0000 0.5000 0.5000
0.5000 0.0000 0.5000
0.5000 0.5000 0.0000
0.5000 0.5000 0.5000
0.2750 0.6600 0.2841
0.2809 0.2841 0.6600
0.2841 0.2809 0.2750
0.3400 0.7250 0.7191
0.6600 0.2750 0.2809
0.7159 0.7191 0.7250
0.7191 0.7159 0.3400
0.7250 0.3400 0.7159
0.1250 0.1250 0.1250
0.8750 0.8750 0.8750
0.0488 0.3199 0.0674
0.0639 0.0674 0.3199
0.0674 0.0639 0.0488
0.1349 0.4126 0.2866
0.1356 0.2955 0.6689
0.1386 0.6487 0.4184
0.2866 0.6658 0.1349
0.2943 0.4184 0.6487
0.2955 0.1356 0.4000
0.3199 0.0488 0.0639
0.3311 0.6000 0.8644
0.3342 0.7134 0.5874
0.3513 0.8614 0.7057
0.4000 0.6689 0.2955
0.4126 0.1349 0.6658
0.4184 0.2943 0.1386
0.5816 0.7057 0.8614
0.5874 0.8651 0.3342
0.6000 0.3311 0.7045
0.6487 0.1386 0.2943
0.6658 0.2866 0.4126
0.6689 0.4000 0.1356
0.6801 0.9512 0.9361
0.7045 0.8644 0.6000
0.7057 0.5816 0.3513
0.7134 0.3342 0.8651
0.8614 0.3513 0.5816
0.8644 0.7045 0.3311
0.8651 0.5874 0.7134
0.9326 0.9361 0.9512
0.9361 0.9326 0.6801
0.9512 0.6801 0.9326
```

Principal peaks in the range 2θ = 10–90°, most intense first:
- 2θ 11.58, I = 1000
- 2θ 21.74, I = 720
- 2θ 22.73, I = 585
- 2θ 22.34, I = 562
- 2θ 27.70, I = 280
- 2θ 23.28, I = 253
- 2θ 34.18, I = 251
- 2θ 35.35, I = 236
- 2θ 27.05, I = 235
- 2θ 39.41, I = 221



(5)
This entry pairs a crystal structure of LiCuCSO7 with its computed powder diffractogram. Radiation: Cu Kα. Structure: DFT lattice parameters and positions (PBE).
Neutral-atom scattering factors, no anomalous dispersion.

Atomic structure:
```
LiCuCSO7
1.0
5.1628 0.0000 0.0000
0.0000 6.2073 0.0000
-0.5300 0.0000 8.9010
Li Cu C S O
2 2 2 2 14
Direct
0.2322 0.0000 0.2880
0.7678 0.5000 0.7120
0.2263 0.2442 0.8499
0.7737 0.7442 0.1501
0.2737 0.2548 0.5714
0.7263 0.7548 0.4286
0.2785 0.7470 0.9260
0.7215 0.2470 0.0740
0.0503 0.2605 0.6320
0.1641 0.7608 0.0734
0.1719 0.5583 0.8372
0.2083 0.9325 0.8261
0.2978 0.2271 0.4337
0.4330 0.2247 0.0517
0.4733 0.2744 0.6684
0.5267 0.7744 0.3316
0.5670 0.7247 0.9483
0.7022 0.7271 0.5663
0.7917 0.4325 0.1739
0.8281 0.0583 0.1628
0.8359 0.2608 0.9266
0.9497 0.7605 0.3680
```

Principal peaks in the range 2θ = 10–90°, most intense first:
- 2θ 28.76, I = 1000
- 2θ 17.42, I = 799
- 2θ 20.42, I = 725
- 2θ 19.38, I = 714
- 2θ 25.66, I = 670
- 2θ 22.42, I = 351
- 2θ 38.73, I = 313
- 2θ 34.82, I = 287
- 2θ 27.24, I = 277
- 2θ 25.00, I = 243



(6)
This entry pairs a crystal structure of Li6Cu2C4SO16 with its computed powder diffractogram. Radiation: Cu Kα. Structure: DFT lattice parameters and positions (PBE).
Neutral-atom scattering factors, no anomalous dispersion.

Atomic structure:
```
Li6Cu2C4SO16
1.0
0.0000 6.6129 6.6129
6.6129 0.0000 6.6129
6.6129 6.6129 0.0000
Li Cu C S O
12 4 8 2 32
Direct
0.0947 0.0947 0.6553
0.0947 0.6553 0.0947
0.0947 0.6553 0.6553
0.3447 0.3447 0.9053
0.3447 0.9053 0.3447
0.3447 0.9053 0.9053
0.6553 0.0947 0.0947
0.6553 0.0947 0.6553
0.6553 0.6553 0.0947
0.9053 0.3447 0.3447
0.9053 0.3447 0.9053
0.9053 0.9053 0.3447
0.0000 0.5000 0.5000
0.5000 0.0000 0.5000
0.5000 0.5000 0.0000
0.5000 0.5000 0.5000
0.2758 0.2758 0.2758
0.2758 0.2758 0.6725
0.2758 0.6725 0.2758
0.3275 0.7242 0.7242
0.6725 0.2758 0.2758
0.7242 0.3275 0.7242
0.7242 0.7242 0.3275
0.7242 0.7242 0.7242
0.1250 0.1250 0.1250
0.8750 0.8750 0.8750
0.0598 0.0598 0.0598
0.0598 0.0598 0.3207
0.0598 0.3207 0.0598
0.1318 0.2854 0.4087
0.1318 0.4087 0.6741
0.1318 0.6741 0.2854
0.2854 0.1318 0.6741
0.2854 0.4087 0.1318
0.2854 0.6741 0.4087
0.3207 0.0598 0.0598
0.3259 0.5913 0.7146
0.3259 0.7146 0.8682
0.3259 0.8682 0.5913
0.4087 0.1318 0.2854
0.4087 0.2854 0.6741
0.4087 0.6741 0.1318
0.5913 0.3259 0.8682
0.5913 0.7146 0.3259
0.5913 0.8682 0.7146
0.6741 0.1318 0.4087
0.6741 0.2854 0.1318
0.6741 0.4087 0.2854
0.6793 0.9402 0.9402
0.7146 0.3259 0.5913
0.7146 0.5913 0.8682
0.7146 0.8682 0.3259
0.8682 0.3259 0.7146
0.8682 0.5913 0.3259
0.8682 0.7146 0.5913
0.9402 0.6793 0.9402
0.9402 0.9402 0.6793
0.9402 0.9402 0.9402
```

Principal peaks in the range 2θ = 10–90°, most intense first:
- 2θ 22.29, I = 1000
- 2θ 11.59, I = 375
- 2θ 35.26, I = 373
- 2θ 40.34, I = 367
- 2θ 26.97, I = 359
- 2θ 38.51, I = 350
- 2θ 60.64, I = 232
- 2θ 45.49, I = 217
- 2θ 53.20, I = 166
- 2θ 61.08, I = 151



What did the third record say?
This entry pairs a crystal structure of LiCu2C3O9 with its computed powder diffractogram. Radiation: Cu Kα. Structure: DFT lattice parameters and positions (PBE).
Neutral-atom scattering factors, no anomalous dispersion.

Atomic structure:
```
LiCu2C3O9
1.0
7.5994 0.0000 0.0000
-2.2735 7.3036 0.0000
-2.8013 -3.5365 6.3020
Li Cu C O
2 4 6 18
Direct
0.0000 0.0000 0.0000
0.4661 0.5836 0.2605
0.0123 0.3118 0.6751
0.0670 0.9069 0.4029
0.3361 0.7636 0.7250
0.5007 0.2180 0.3085
0.1347 0.7009 0.0626
0.2386 0.3245 0.4442
0.2804 0.1325 0.8555
0.5982 0.0161 0.5798
0.6507 0.9015 0.1427
0.8700 0.5525 0.4795
0.0230 0.6859 0.1559
0.0456 0.7073 0.5270
0.0989 0.1284 0.3129
0.1509 0.1287 0.6816
0.1678 0.8388 0.0046
0.2044 0.5661 0.0274
0.2065 0.4427 0.5830
0.2690 0.2119 0.0215
0.4072 0.4097 0.4395
0.4089 0.0603 0.8460
0.4816 0.0915 0.4929
0.5036 0.8251 0.5362
0.6053 0.8143 0.9462
0.6607 0.0816 0.2307
0.6943 0.4852 0.3126
0.7026 0.8143 0.2534
0.8023 0.1277 0.7126
0.8704 0.4721 0.6012
```

Principal peaks in the range 2θ = 10–90°, most intense first:
- 2θ 14.07, I = 1000
- 2θ 13.96, I = 782
- 2θ 19.90, I = 708
- 2θ 19.64, I = 634
- 2θ 14.18, I = 519
- 2θ 20.48, I = 517
- 2θ 31.43, I = 515
- 2θ 37.56, I = 434
- 2θ 31.57, I = 325
- 2θ 37.77, I = 304